Diffraction record for KGdTi4O12. The powder diffraction line list is calculated, not measured: it uses a structure optimized by DFT (GGA-PBE) and λ = 1.5418 Å (Cu Kα).

Peak list (10 most intense, 10° ≤ 2θ ≤ 90°, by intensity)
| (hkl) | d/Å | I_rel |
| --- | --- | --- |
| 1 1 1 | 4.483 | 100 |
| 2 2 0 | 2.747 | 74 |
| 0 4 0 | 1.945 | 39 |
| 0 2 2 | 2.742 | 36 |
| 3 1 1 | 2.344 | 36 |
| 1 0 0 | 7.786 | 32 |
| 0 1 1 | 5.484 | 29 |
| 4 2 2 | 1.587 | 29 |
| 1 0 2 | 3.471 | 21 |
| 0 4 4 | 1.372 | 20 |

Atomic structure:
Cell: 7.786 7.771 7.739 Å, 90.00 90.00 90.00°
Space group Amm2 (No. 38)
Symmetry-distinct sites (fractional):
1 K 0.000 0.000 0.000 x2
2 Gd 0.500 0.000 0.528 x2
3 Ti 0.243 0.243 0.262 x8
4 O 0.000 0.238 0.257 x4
5 O 0.255 0.000 0.742 x4
6 O 0.270 0.250 0.008 x8
7 O 0.288 0.000 0.279 x4
8 O 0.500 0.223 0.748 x4